(1)
AuCl4O3: theoretical powder XRD pattern (a wavelength of 1.5418 Å), based on a structure optimized by DFT (PBE).

Cell and atoms:
Unit cell a=8.217 b=11.466 c=11.436 alpha=90.00 beta=124.58 gamma=90.00
Element x y z (fractional)
Au1 0.244 0.016 0.492
Au2 0.244 0.484 0.992
Au3 0.756 0.516 0.008
Au4 0.756 0.984 0.508
Cl1 0.125 0.192 0.377
Cl2 0.125 0.308 0.877
Cl3 0.214 0.578 0.802
Cl4 0.214 0.922 0.302
Cl5 0.269 0.117 0.678
Cl6 0.269 0.383 0.178
Cl7 0.374 0.645 0.135
Cl8 0.374 0.855 0.635
Cl9 0.626 0.145 0.365
Cl10 0.626 0.355 0.865
Cl11 0.731 0.617 0.822
Cl12 0.731 0.883 0.322
Cl13 0.786 0.078 0.698
Cl14 0.786 0.422 0.198
Cl15 0.875 0.692 0.123
Cl16 0.875 0.808 0.623
O1 0.018 0.109 0.113
O2 0.018 0.391 0.613
O3 0.172 0.593 0.468
O4 0.172 0.907 0.968
O5 0.269 0.589 0.411
O6 0.269 0.911 0.911
O7 0.731 0.089 0.089
O8 0.731 0.411 0.589
O9 0.828 0.093 0.032
O10 0.828 0.407 0.532
O11 0.982 0.609 0.387
O12 0.982 0.891 0.887

Main lines, by angle (2θ = 10–90°):
2θ = 12.16°, d 7.277, I 100
2θ = 15.46°, d 5.733, I 28
2θ = 18.85°, d 4.708, I 12
2θ = 22.00°, d 4.041, I 21
2θ = 23.65°, d 3.763, I 35
2θ = 24.46°, d 3.639, I 17
2θ = 25.15°, d 3.541, I 9
2θ = 26.35°, d 3.383, I 16
2θ = 30.69°, d 2.913, I 14
2θ = 37.06°, d 2.426, I 11

=====

(2)
Gd2Si2O7: theoretical powder XRD pattern (a wavelength of 1.5418 Å), based on a structure optimized by DFT (PBE).

Cell and atoms:
Unit cell a=6.623 b=6.749 c=12.729 alpha=90.00 beta=108.16 gamma=90.00
Element x y z (fractional)
Gd1 0.028 0.111 0.363
Gd2 0.028 0.389 0.863
Gd3 0.342 0.170 0.151
Gd4 0.342 0.330 0.651
Gd5 0.658 0.670 0.349
Gd6 0.658 0.830 0.849
Gd7 0.972 0.611 0.137
Gd8 0.972 0.889 0.637
Si1 0.211 0.582 0.389
Si2 0.211 0.918 0.889
Si3 0.397 0.671 0.085
Si4 0.397 0.829 0.585
Si5 0.603 0.171 0.415
Si6 0.603 0.329 0.915
Si7 0.789 0.082 0.111
Si8 0.789 0.418 0.611
O1 0.002 0.724 0.332
O2 0.002 0.776 0.832
O3 0.164 0.105 0.957
O4 0.164 0.395 0.457
O5 0.225 0.015 0.550
O6 0.225 0.485 0.050
O7 0.283 0.669 0.646
O8 0.283 0.831 0.146
O9 0.301 0.519 0.288
O10 0.301 0.981 0.788
O11 0.372 0.095 0.339
O12 0.372 0.405 0.839
O13 0.408 0.722 0.468
O14 0.408 0.778 0.968
O15 0.592 0.222 0.032
O16 0.592 0.278 0.532
O17 0.628 0.595 0.161
O18 0.628 0.905 0.661
O19 0.699 0.019 0.212
O20 0.699 0.481 0.712
O21 0.717 0.169 0.854
O22 0.717 0.331 0.354
O23 0.775 0.515 0.950
O24 0.775 0.985 0.450
O25 0.836 0.605 0.543
O26 0.836 0.895 0.043
O27 0.998 0.224 0.168
O28 0.998 0.276 0.668

Main lines, by angle (2θ = 10–90°):
2θ = 19.28°, d 4.603, I 29
2θ = 22.18°, d 4.009, I 33
2θ = 26.88°, d 3.316, I 49
2θ = 27.44°, d 3.250, I 100
2θ = 27.58°, d 3.234, I 36
2θ = 29.54°, d 3.024, I 60
2θ = 30.08°, d 2.970, I 32
2θ = 30.65°, d 2.917, I 46
2θ = 31.49°, d 2.841, I 27
2θ = 46.18°, d 1.966, I 40

=====

(3)
SbTePd2: theoretical powder XRD pattern (a wavelength of 1.5418 Å), based on a structure optimized by DFT (PBE).

Cell and atoms:
Unit cell a=4.188 b=4.188 c=5.711 alpha=90.00 beta=90.00 gamma=120.00
Element x y z (fractional)
Sb1 0.000 0.000 0.000
Te1 0.667 0.333 0.500
Pd1 0.333 0.667 0.246
Pd2 0.333 0.667 0.754

Main lines, by angle (2θ = 10–90°):
2θ = 24.54°, d 3.627, I 15
2θ = 29.17°, d 3.062, I 94
2θ = 40.19°, d 2.244, I 100
2θ = 43.20°, d 2.094, I 75
2θ = 52.98°, d 1.728, I 17
2θ = 54.44°, d 1.686, I 16
2θ = 60.48°, d 1.531, I 29
2θ = 70.67°, d 1.333, I 14
2θ = 77.19°, d 1.236, I 29
2θ = 81.62°, d 1.180, I 23

=====

(4)
LiH2O2: theoretical powder XRD pattern (a wavelength of 1.5418 Å), based on a structure optimized by DFT (PBE).

Cell and atoms:
Unit cell a=3.218 b=3.218 c=7.655 alpha=90.00 beta=90.00 gamma=90.00
Element x y z (fractional)
Li1 0.000 0.000 0.000
H1 0.000 0.000 0.354
H2 0.000 0.000 0.646
O1 0.000 0.000 0.228
O2 0.000 0.000 0.772

Main lines, by angle (2θ = 10–90°):
2θ = 11.56°, d 7.655, I 15
2θ = 23.24°, d 3.827, I 37
2θ = 27.72°, d 3.218, I 100
2θ = 36.48°, d 2.463, I 37
2θ = 39.61°, d 2.276, I 31
2θ = 46.43°, d 1.956, I 15
2θ = 55.90°, d 1.645, I 11
2θ = 57.26°, d 1.609, I 8
2θ = 63.52°, d 1.465, I 6
2θ = 64.78°, d 1.439, I 9

=====

(5)
Pa3Re: theoretical powder XRD pattern (a wavelength of 1.5418 Å), based on a structure optimized by DFT (PBE).

Cell and atoms:
Unit cell a=6.199 b=6.199 c=5.400 alpha=90.00 beta=90.00 gamma=120.00
Element x y z (fractional)
Pa1 0.176 0.353 0.250
Pa2 0.176 0.824 0.250
Pa3 0.353 0.176 0.750
Pa4 0.647 0.824 0.250
Pa5 0.824 0.176 0.750
Pa6 0.824 0.647 0.750
Re1 0.333 0.667 0.750
Re2 0.667 0.333 0.250

Main lines, by angle (2θ = 10–90°):
2θ = 33.18°, d 2.700, I 31
2θ = 33.38°, d 2.684, I 23
2θ = 37.41°, d 2.404, I 100
2θ = 47.78°, d 1.904, I 17
2θ = 59.66°, d 1.550, I 17
2θ = 62.08°, d 1.495, I 24
2θ = 69.99°, d 1.344, I 21
2θ = 72.57°, d 1.303, I 14
2θ = 79.46°, d 1.206, I 4
2θ = 79.81°, d 1.202, I 5

=====

(6)
TbPO4: theoretical powder XRD pattern (a wavelength of 1.5418 Å), based on a structure optimized by DFT (PBE).

Cell and atoms:
Unit cell a=4.969 b=6.934 c=6.853 alpha=90.00 beta=90.00 gamma=90.00
Element x y z (fractional)
Tb1 0.013 0.191 0.250
Tb2 0.013 0.309 0.750
Tb3 0.987 0.691 0.250
Tb4 0.987 0.809 0.750
P1 0.500 0.000 0.000
P2 0.500 0.000 0.500
P3 0.500 0.500 0.000
P4 0.500 0.500 0.500
O1 0.208 0.575 0.564
O2 0.208 0.575 0.936
O3 0.208 0.925 0.064
O4 0.208 0.925 0.436
O5 0.353 0.250 0.000
O6 0.353 0.250 0.500
O7 0.382 0.524 0.250
O8 0.382 0.976 0.750
O9 0.618 0.024 0.250
O10 0.618 0.476 0.750
O11 0.647 0.750 0.000
O12 0.647 0.750 0.500
O13 0.792 0.075 0.564
O14 0.792 0.075 0.936
O15 0.792 0.425 0.064
O16 0.792 0.425 0.436

Main lines, by angle (2θ = 10–90°):
2θ = 17.85°, d 4.969, I 73
2θ = 28.86°, d 3.094, I 40
2θ = 31.46°, d 2.843, I 65
2θ = 31.72°, d 2.821, I 100
2θ = 34.14°, d 2.626, I 51
2θ = 36.88°, d 2.437, I 34
2θ = 41.26°, d 2.188, I 37
2θ = 46.90°, d 1.937, I 27
2θ = 52.61°, d 1.740, I 28
2θ = 57.93°, d 1.592, I 30

=====

(7)
Ba2SmSeO6: theoretical powder XRD pattern (a wavelength of 1.5418 Å), based on a structure optimized by DFT (PBE).

Cell and atoms:
Unit cell a=6.019 b=6.019 c=6.019 alpha=60.00 beta=60.00 gamma=60.00
Element x y z (fractional)
Ba1 0.250 0.250 0.250
Ba2 0.750 0.750 0.750
Sm1 0.000 0.000 0.000
Se1 0.500 0.500 0.500
O1 0.269 0.269 0.731
O2 0.269 0.731 0.269
O3 0.269 0.731 0.731
O4 0.731 0.269 0.269
O5 0.731 0.269 0.731
O6 0.731 0.731 0.269

Main lines, by angle (2θ = 10–90°):
2θ = 18.05°, d 4.915, I 3
2θ = 29.68°, d 3.010, I 100
2θ = 34.96°, d 2.567, I 3
2θ = 36.57°, d 2.457, I 3
2θ = 42.48°, d 2.128, I 30
2θ = 52.68°, d 1.738, I 40
2θ = 61.63°, d 1.505, I 19
2θ = 69.89°, d 1.346, I 18
2θ = 77.72°, d 1.229, I 6
2θ = 85.33°, d 1.138, I 22

=====

(8)
Rb2PbCl5: theoretical powder XRD pattern (a wavelength of 1.5418 Å), based on a structure optimized by DFT (PBE).

Cell and atoms:
Unit cell a=9.021 b=9.883 c=12.433 alpha=89.29 beta=89.83 gamma=89.77
Element x y z (fractional)
Rb1 0.063 0.027 0.330
Rb2 0.077 0.757 0.003
Rb3 0.423 0.758 0.503
Rb4 0.437 0.028 0.830
Rb5 0.563 0.972 0.170
Rb6 0.577 0.242 0.497
Rb7 0.923 0.243 0.997
Rb8 0.937 0.973 0.670
Pb1 0.085 0.480 0.678
Pb2 0.415 0.479 0.178
Pb3 0.585 0.521 0.822
Pb4 0.915 0.520 0.322
Cl1 0.037 0.671 0.488
Cl2 0.124 0.464 0.135
Cl3 0.134 0.257 0.791
Cl4 0.175 0.731 0.748
Cl5 0.214 0.037 0.074
Cl6 0.286 0.037 0.574
Cl7 0.325 0.731 0.248
Cl8 0.366 0.257 0.291
Cl9 0.376 0.464 0.635
Cl10 0.463 0.671 0.988
Cl11 0.537 0.329 0.012
Cl12 0.624 0.536 0.365
Cl13 0.634 0.743 0.709
Cl14 0.675 0.269 0.752
Cl15 0.714 0.963 0.426
Cl16 0.786 0.963 0.926
Cl17 0.825 0.269 0.252
Cl18 0.866 0.743 0.209
Cl19 0.876 0.536 0.865
Cl20 0.963 0.329 0.512

Main lines, by angle (2θ = 10–90°):
2θ = 19.45°, d 4.564, I 48
2θ = 19.67°, d 4.513, I 41
2θ = 21.65°, d 4.105, I 83
2θ = 22.86°, d 3.891, I 100
2θ = 23.13°, d 3.845, I 48
2θ = 23.63°, d 3.766, I 88
2θ = 30.55°, d 2.926, I 54
2θ = 34.25°, d 2.618, I 70
2θ = 34.38°, d 2.609, I 54
2θ = 36.37°, d 2.470, I 44

=====

(9)
ThSi3Ir: theoretical powder XRD pattern (a wavelength of 1.5418 Å), based on a structure optimized by DFT (PBE).

Cell and atoms:
Unit cell a=4.287 b=4.287 c=9.735 alpha=90.00 beta=90.00 gamma=90.00
Element x y z (fractional)
Th1 0.000 0.000 0.000
Th2 0.500 0.500 0.500
Si1 0.000 0.000 0.411
Si2 0.000 0.500 0.266
Si3 0.000 0.500 0.766
Si4 0.500 0.000 0.266
Si5 0.500 0.000 0.766
Si6 0.500 0.500 0.911
Ir1 0.000 0.000 0.656
Ir2 0.500 0.500 0.156

Main lines, by angle (2θ = 10–90°):
2θ = 18.23°, d 4.867, I 20
2θ = 22.66°, d 3.923, I 48
2θ = 29.47°, d 3.031, I 66
2θ = 34.67°, d 2.587, I 100
2θ = 34.87°, d 2.573, I 43
2θ = 42.16°, d 2.143, I 43
2θ = 51.56°, d 1.773, I 17
2θ = 55.69°, d 1.651, I 53
2θ = 65.22°, d 1.430, I 17
2θ = 87.35°, d 1.116, I 16

=====

(10)
MgCu3AsS4: theoretical powder XRD pattern (a wavelength of 1.5418 Å), based on a structure optimized by DFT (PBE).

Cell and atoms:
Unit cell a=5.422 b=5.422 c=5.869 alpha=90.00 beta=90.00 gamma=90.00
Element x y z (fractional)
Mg1 0.000 0.000 0.000
Cu1 0.000 0.500 0.000
Cu2 0.500 0.000 0.000
Cu3 0.500 0.500 0.500
As1 0.000 0.000 0.500
S1 0.266 0.266 0.763
S2 0.266 0.734 0.237
S3 0.734 0.266 0.237
S4 0.734 0.734 0.763

Main lines, by angle (2θ = 10–90°):
2θ = 27.80°, d 3.210, I 100
2θ = 30.46°, d 2.935, I 7
2θ = 33.04°, d 2.711, I 12
2θ = 45.56°, d 1.991, I 55
2θ = 47.43°, d 1.917, I 24
2θ = 52.51°, d 1.743, I 15
2θ = 55.87°, d 1.646, I 25
2θ = 73.43°, d 1.290, I 13
2θ = 82.85°, d 1.165, I 9
2θ = 86.95°, d 1.120, I 15

=====

(11)
HfMg14Mo: theoretical powder XRD pattern (a wavelength of 1.5418 Å), based on a structure optimized by DFT (PBE).

Cell and atoms:
Unit cell a=6.326 b=6.326 c=10.002 alpha=90.00 beta=90.00 gamma=120.00
Element x y z (fractional)
Hf1 0.000 0.000 0.000
Mg1 0.007 0.503 0.000
Mg2 0.160 0.319 0.258
Mg3 0.160 0.319 0.742
Mg4 0.160 0.840 0.258
Mg5 0.160 0.840 0.742
Mg6 0.497 0.503 0.000
Mg7 0.497 0.993 0.000
Mg8 0.500 0.001 0.500
Mg9 0.500 0.500 0.500
Mg10 0.667 0.333 0.245
Mg11 0.667 0.333 0.755
Mg12 0.681 0.840 0.258
Mg13 0.681 0.840 0.742
Mg14 0.999 0.500 0.500
Mo1 0.000 0.000 0.500

Main lines, by angle (2θ = 10–90°):
2θ = 16.18°, d 5.479, I 67
2θ = 24.10°, d 3.694, I 46
2θ = 32.69°, d 2.739, I 32
2θ = 33.52°, d 2.673, I 21
2θ = 35.92°, d 2.500, I 24
2θ = 37.43°, d 2.402, I 100
2θ = 47.53°, d 1.913, I 19
2θ = 49.35°, d 1.847, I 20
2θ = 65.55°, d 1.424, I 18
2θ = 70.45°, d 1.337, I 19